DySi3IrRu: simulated powder diffractogram (CuKα), based on a PBE-relaxed structure.
Intensities are scaled so that the largest is 100.

The 10 most intense peaks (2θ from 5° to 70°), by angle:
2θ 20.73, intensity 67
2θ 28.72, intensity 58
2θ 29.29, intensity 100
2θ 32.39, intensity 41
2θ 35.69, intensity 35
2θ 36.14, intensity 29
2θ 43.83, intensity 56
2θ 49.31, intensity 32
2θ 52.16, intensity 26
2θ 55.86, intensity 28

Atomic structure:
a b c (Å): 7.457 7.457 5.528
angles (deg): 90.00 90.00 130.73
Fractional coordinates of all 12 atoms:
1 Dy 0.183 0.817 0.750
2 Dy 0.817 0.183 0.250
3 Si 0.228 0.772 0.250
4 Si 0.287 0.287 0.000
5 Si 0.287 0.287 0.500
6 Si 0.713 0.713 0.000
7 Si 0.713 0.713 0.500
8 Si 0.772 0.228 0.750
9 Ir 0.393 0.607 0.250
10 Ir 0.607 0.393 0.750
11 Ru 0.063 0.937 0.250
12 Ru 0.937 0.063 0.750